# Yb2CoTe2S2O14
Simulated PXRD pattern, Cu Kα (λ = 1.5418 Å). Input: a crystal structure in Alexandria, relaxed with GGA+U.

Largest 10 diffraction maxima, sorted by position, 2θ from 15° to 90°:
23.54°, rel. 100
24.47°, rel. 46
24.68°, rel. 83
24.81°, rel. 28
29.89°, rel. 40
30.74°, rel. 41
32.40°, rel. 41
32.92°, rel. 33
36.26°, rel. 47
39.99°, rel. 34

Cell and atoms:
a = 5.467 Å, b = 8.052 Å, c = 8.217 Å
α = 112.63°, β = 108.37°, γ = 95.10°
Sites, in units of the cell vectors:
Yb 0.159 0.231 0.015
Yb 0.841 0.769 0.985
Co 0.500 0.500 0.500
Te 0.117 0.760 0.643
Te 0.883 0.240 0.357
S 0.425 0.725 0.238
S 0.575 0.275 0.762
O 0.111 0.436 0.352
O 0.130 0.914 0.888
O 0.220 0.832 0.258
O 0.296 0.539 0.077
O 0.365 0.176 0.794
O 0.442 0.291 0.579
O 0.443 0.686 0.723
O 0.557 0.314 0.277
O 0.558 0.709 0.421
O 0.635 0.824 0.206
O 0.704 0.461 0.923
O 0.780 0.168 0.742
O 0.870 0.086 0.112
O 0.889 0.564 0.648